No. 1
Calculated XRD peak list of TiCr2Fe3P6O24 for a wavelength of 1.5418 Å, from a cell relaxed with PBE+U.
Peak positions follow from Bragg's law for the DFT cell and can differ from measured ones.

Peak list (10 most intense, 10° ≤ 2θ ≤ 90°, by angle)
2θ (°)  I (rel.)  (hkl)
20.56  76.5  1 1 0
24.29  100.0  1 1 3
25.30  13.1  2 0 2
31.94  14.9  2 1 1
33.16  69.7  2 -1 6
36.01  36.2  3 0 0
47.54  25.4  3 -2 8
49.76  26.9  4 -2 6
56.35  21.0  4 1 0
62.94  20.2  5 -1 6

Structural model:
```
data_TiCr2Fe3P6O24
_space_group_name_H-M_alt 'R 3'
_space_group_IT_number 146
_space_group_name_Hall 'R 3'
_cell_length_a 8.6397
_cell_length_b 8.6397
_cell_length_c 20.7714
_cell_angle_alpha 90.00
_cell_angle_beta 90.00
_cell_angle_gamma 120.00
loop_
_atom_site_label
_atom_site_fract_x
_atom_site_fract_y
_atom_site_fract_z
Ti1 0.0000 0.0000 0.0000
Cr1 0.0000 0.0000 0.3536
Cr2 0.0000 0.0000 0.8535
Fe1 0.0000 0.0000 0.2085
Fe2 0.0000 0.0000 0.5007
Fe3 0.0000 0.0000 0.7080
P1 0.0002 0.2970 0.1049
P2 0.0376 0.6673 0.2714
O1 0.0071 0.8054 0.6656
O2 0.0081 0.2021 0.1655
O3 0.0134 0.8344 0.2796
O4 0.0149 0.1812 0.7785
O5 0.1362 0.6705 0.2100
O6 0.1476 0.4728 0.7113
O7 0.1683 0.6802 0.5977
O8 0.1696 0.4842 0.0942
```

***

No. 2
Calculated XRD peak list of V3Cr2FeP6O24 for a wavelength of 1.5418 Å, from a cell relaxed with PBE+U.
Peak positions follow from Bragg's law for the DFT cell and can differ from measured ones.

Peak list (10 most intense, 10° ≤ 2θ ≤ 90°, by angle)
2θ (°)  I (rel.)  (hkl)
20.60  68.5  1 1 0
24.30  100.0  1 1 3
25.34  14.8  2 0 2
31.99  15.5  2 1 1
33.15  60.7  2 -1 6
36.08  33.1  3 0 0
47.53  26.4  3 -2 8
49.79  23.8  4 -2 6
56.46  21.8  4 1 0
63.01  17.5  5 -1 6

Structural model:
```
data_V3Cr2FeP6O24
_space_group_name_H-M_alt 'R 3'
_space_group_IT_number 146
_space_group_name_Hall 'R 3'
_cell_length_a 8.6246
_cell_length_b 8.6246
_cell_length_c 20.8112
_cell_angle_alpha 90.00
_cell_angle_beta 90.00
_cell_angle_gamma 120.00
loop_
_atom_site_label
_atom_site_fract_x
_atom_site_fract_y
_atom_site_fract_z
V1 0.0000 0.0000 0.0000
V2 0.0000 0.0000 0.2126
V3 0.0000 0.0000 0.4998
Cr1 0.0000 0.0000 0.3564
Cr2 0.0000 0.0000 0.8556
Fe1 0.0000 0.0000 0.7104
P1 0.0004 0.2952 0.6062
P2 0.9996 0.7050 0.1072
O1 0.0046 0.2017 0.6675
O2 0.0098 0.8097 0.1679
O3 0.0142 0.1796 0.2795
O4 0.0180 0.8364 0.7827
O5 0.1372 0.6707 0.7128
O6 0.1388 0.4689 0.2122
O7 0.1671 0.6797 0.1000
O8 0.1677 0.4878 0.5980
```

***

No. 3
Calculated XRD peak list of VCr2Fe3P6O24 for a wavelength of 1.5418 Å, from a cell relaxed with PBE+U.
Peak positions follow from Bragg's law for the DFT cell and can differ from measured ones.

Peak list (10 most intense, 10° ≤ 2θ ≤ 90°, by angle)
2θ (°)  I (rel.)  (hkl)
20.35  76.4  1 1 0
24.18  100.0  2 -1 3
25.10  13.7  2 0 2
31.61  14.7  3 -1 1
33.27  66.9  1 1 6
35.63  38.3  3 0 0
47.63  26.2  1 2 8
49.54  26.5  2 2 6
55.72  22.1  1 4 0
62.50  20.9  4 1 6

Structural model:
```
data_VCr2Fe3P6O24
_space_group_name_H-M_alt 'R 3'
_space_group_IT_number 146
_space_group_name_Hall 'R 3'
_cell_length_a 8.7299
_cell_length_b 8.7299
_cell_length_c 20.5287
_cell_angle_alpha 90.00
_cell_angle_beta 90.00
_cell_angle_gamma 120.00
loop_
_atom_site_label
_atom_site_fract_x
_atom_site_fract_y
_atom_site_fract_z
V1 0.0000 0.0000 0.0000
Cr1 0.0000 0.0000 0.3559
Cr2 0.0000 0.0000 0.8562
Fe1 0.0000 0.0000 0.2098
Fe2 0.0000 0.0000 0.5023
Fe3 0.0000 0.0000 0.7106
P1 0.0007 0.7031 0.1061
P2 0.0361 0.3685 0.2736
O1 0.0101 0.1775 0.2840
O2 0.0113 0.8318 0.7835
O3 0.0127 0.2063 0.6684
O4 0.0153 0.8084 0.1676
O5 0.1376 0.4617 0.2116
O6 0.1433 0.6787 0.7113
O7 0.1648 0.4896 0.5966
O8 0.1665 0.6792 0.0943
```

***

No. 4
Calculated XRD peak list of CrFeTeO6 for a wavelength of 1.5418 Å, from a cell relaxed with PBE+U.
Peak positions follow from Bragg's law for the DFT cell and can differ from measured ones.

Peak list (10 most intense, 10° ≤ 2θ ≤ 90°, by angle)
2θ (°)  I (rel.)  (hkl)
21.72  25.5  1 0 1
27.56  100.0  1 1 0
35.43  66.9  1 0 3
39.38  16.0  2 0 0
54.00  64.4  2 1 3
56.92  17.9  2 2 0
64.38  11.9  3 1 0
68.12  13.3  1 1 6
68.86  22.1  3 0 3
82.32  10.0  3 2 3

Structural model:
```
data_CrFeTeO6
_space_group_name_H-M_alt 'P 42 n m'
_space_group_IT_number 102
_space_group_name_Hall 'P 4n -2n'
_cell_length_a 4.5764
_cell_length_b 4.5764
_cell_length_c 9.1264
_cell_angle_alpha 90.00
_cell_angle_beta 90.00
_cell_angle_gamma 90.00
loop_
_atom_site_label
_atom_site_fract_x
_atom_site_fract_y
_atom_site_fract_z
Cr1 0.0000 0.0000 0.0000
Fe1 0.0000 0.0000 0.6682
Te1 0.0000 0.0000 0.3344
O1 0.1898 0.1898 0.5010
O2 0.1962 0.1962 0.8323
O3 0.1966 0.1966 0.1707
```

***

No. 5
Calculated XRD peak list of V4CrFeO12 for a wavelength of 1.5418 Å, from a cell relaxed with PBE+U.
Peak positions follow from Bragg's law for the DFT cell and can differ from measured ones.

Peak list (10 most intense, 10° ≤ 2θ ≤ 90°, by angle)
2θ (°)  I (rel.)  (hkl)
13.31  27.4  1 1 0
18.75  46.2  1 1 -1
19.16  40.9  0 2 0
23.92  23.6  1 1 1
28.03  100.0  2 2 -1
29.66  60.9  3 1 0
33.95  38.2  0 0 2
35.20  28.1  2 2 1
52.58  24.4  2 2 -3
53.90  20.5  5 3 -1

Structural model:
```
data_V4CrFeO12
_space_group_name_H-M_alt 'C 1 2 1'
_space_group_IT_number 5
_space_group_name_Hall 'C 2y'
_cell_length_a 10.1923
_cell_length_b 9.2649
_cell_length_c 5.6335
_cell_angle_alpha 90.00
_cell_angle_beta 110.37
_cell_angle_gamma 90.00
loop_
_atom_site_label
_atom_site_fract_x
_atom_site_fract_y
_atom_site_fract_z
V1 0.2020 0.0000 0.4989
V2 0.2064 0.2010 0.0048
Cr1 0.0000 0.5141 0.0000
Fe1 0.0000 0.6845 0.5000
O1 0.1049 0.6690 0.8822
O2 0.1131 0.5214 0.3822
O3 0.1334 0.3703 0.9491
O4 0.1379 0.0979 0.6970
O5 0.1394 0.0773 0.1983
O6 0.1490 0.8210 0.4913
```